This entry pairs a crystal structure of Cu7Pt5 with its theoretical powder diffraction line list. Radiation: Cu Kα (λ = 1.5418 Å). Structure: a structure optimized by DFT (GGA-PBE).
Kinematic intensities with the Lorentz-polarization factor, no thermal factor.

Atomic structure:
Lattice parameters (Å, degrees): 5.3367 7.6546 8.0725 90.00 90.00 90.00
Space group C222 (No. 21)
One atom of each set of equivalent atoms:
1 Cu 0.0000 0.0000 0.0000 (multiplicity 2)
2 Cu 0.0000 0.0000 0.3376 (multiplicity 4)
3 Cu 0.2500 0.2500 0.5018 (multiplicity 4)
4 Cu 0.2500 0.2500 0.8322 (multiplicity 4)
5 Pt 0.0000 0.5000 0.0000 (multiplicity 2)
6 Pt 0.0000 0.5000 0.3358 (multiplicity 4)
7 Pt 0.2500 0.2500 0.1701 (multiplicity 4)

Most intense lines, 2θ = 15–90°, low angle first:
d/Å	2θ (°)	Rel. int.	(hkl)
4.378	20.3	38.1	1 1 0
2.201	41.0	100.0	0 2 3
2.189	41.2	98.6	2 2 0
1.914	47.5	32.7	0 4 0
1.895	48.0	63.2	2 0 3
1.346	69.9	50.3	2 4 3